Calculated powder XRD pattern of Pm14DyHo for copper Kα, from a GGA-PBE-relaxed structure.
No peak broadening, texture or thermal motion is included.

Peak list (11 most intense, 2θ from 10° to 90°, sorted by position)
2θ (°)  I/Imax
30.1  100
34.9  51
50.2  36
59.6  29
59.7  14
62.6  12
73.7  4
73.8  2
81.6  18
84.2  11
84.3  5

```
Pm14DyHo
1.0
7.2757 0.0000 0.0000
0.0000 7.2757 0.0000
0.0000 0.0000 10.2671
Pm Dy Ho
14 1 1
Direct
0.0000 0.0000 0.0000
0.0000 0.5000 0.0000
0.0000 0.5000 0.5000
0.2502 0.2502 0.2518
0.2502 0.2502 0.7482
0.2502 0.7498 0.2518
0.2502 0.7498 0.7482
0.5000 0.0000 0.0000
0.5000 0.0000 0.5000
0.5000 0.5000 0.0000
0.7498 0.2502 0.2518
0.7498 0.2502 0.7482
0.7498 0.7498 0.2518
0.7498 0.7498 0.7482
0.0000 0.0000 0.5000
0.5000 0.5000 0.5000
```

=====

Calculated powder XRD pattern of Ac6PrTm2 for copper Kα, from a GGA-PBE-relaxed structure.
No peak broadening, texture or thermal motion is included.

Peak list (12 most intense, 2θ from 10° to 90°, sorted by position)
2θ (°)  I/Imax
22.6  41
26.0  33
27.1  36
28.1  61
28.4  54
29.7  100
29.9  81
30.7  24
32.0  23
32.2  28
56.3  35
56.7  22

```
Ac6PrTm2
1.0
8.0092 -4.7334 0.0000
8.0092 4.7334 0.0000
-1.7763 0.0000 9.9471
Ac Pr Tm
12 2 4
Direct
0.0837 0.6433 0.4807
0.0973 0.7009 0.8726
0.2991 0.9027 0.6274
0.3132 0.4447 0.1676
0.3567 0.9163 0.0193
0.4447 0.3132 0.6676
0.5553 0.6868 0.3324
0.6433 0.0837 0.9807
0.6868 0.5553 0.8324
0.7009 0.0973 0.3726
0.9027 0.2991 0.1274
0.9163 0.3567 0.5193
0.0994 0.9006 0.2500
0.9006 0.0994 0.7500
0.1413 0.2951 0.8529
0.2951 0.1413 0.3529
0.7049 0.8587 0.6471
0.8587 0.7049 0.1471
```

=====

Calculated powder XRD pattern of Ca3Ga9Au2 for copper Kα, from a GGA-PBE-relaxed structure.
No peak broadening, texture or thermal motion is included.

Peak list (12 most intense, 2θ from 10° to 90°, sorted by position)
2θ (°)  I/Imax
11.4  16
13.8  21
18.1  28
21.3  21
34.5  100
37.0  46
40.9  35
42.1  24
44.6  34
47.0  15
60.2  17
64.0  15

```
Ca3Ga9Au2
1.0
-2.2039 4.8917 6.4326
2.2039 -4.8917 6.4326
2.2039 4.8917 -6.4326
Ca Ga Au
3 9 2
Direct
0.0000 0.0000 0.0000
0.3028 0.3028 0.0000
0.6972 0.6972 0.0000
0.0285 0.6592 0.3693
0.1346 0.8556 0.2790
0.2900 0.6592 0.6307
0.4235 0.1444 0.2790
0.5000 0.0000 0.5000
0.5765 0.8556 0.7210
0.7100 0.3408 0.3693
0.8654 0.1444 0.7210
0.9715 0.3408 0.6307
0.3090 0.5000 0.8090
0.6910 0.5000 0.1910
```

=====

Calculated powder XRD pattern of Tb7Sm4Dy for copper Kα, from a GGA-PBE-relaxed structure.
No peak broadening, texture or thermal motion is included.

Peak list (12 most intense, 2θ from 10° to 90°, sorted by position)
2θ (°)  I/Imax
30.2  34
31.0  37
31.5  100
32.0  62
32.4  32
32.5  18
34.5  11
45.5  12
46.7  12
56.5  12
56.7  12
64.1  12

```
Tb7Sm4Dy
1.0
6.5437 0.0000 0.0000
0.9113 6.7811 0.0000
2.0027 0.3923 8.8745
Tb Sm Dy
7 4 1
Direct
0.0000 0.0000 0.0000
0.1900 0.6058 0.3850
0.3165 0.1985 0.6398
0.4878 0.7477 0.0517
0.5122 0.2523 0.9483
0.6835 0.8015 0.3602
0.8100 0.3942 0.6150
0.1587 0.1153 0.3086
0.3609 0.6919 0.7175
0.6391 0.3081 0.2825
0.8413 0.8847 0.6914
0.0000 0.5000 0.0000
```

=====

Calculated powder XRD pattern of MgAl3SiBO9 for copper Kα, from a GGA-PBE-relaxed structure.
No peak broadening, texture or thermal motion is included.

Peak list (12 most intense, 2θ from 10° to 90°, sorted by position)
2θ (°)  I/Imax
16.0  99
17.0  91
17.4  100
23.7  34
29.9  22
32.3  59
34.4  20
39.0  20
41.3  31
41.6  20
62.2  25
63.9  21

```
MgAl3SiBO9
1.0
11.0920 0.0000 0.0000
0.0000 5.8241 0.0000
0.0000 0.0000 10.4219
Mg Al Si B O
4 12 4 4 36
Direct
0.2193 0.2500 0.0918
0.2807 0.7500 0.5918
0.7193 0.2500 0.4082
0.7807 0.7500 0.9082
0.0000 0.0000 0.0000
0.0000 0.0000 0.5000
0.0000 0.5000 0.0000
0.0000 0.5000 0.5000
0.0519 0.7500 0.7263
0.4481 0.2500 0.2263
0.5000 0.0000 0.0000
0.5000 0.0000 0.5000
0.5000 0.5000 0.0000
0.5000 0.5000 0.5000
0.5519 0.7500 0.7737
0.9481 0.2500 0.2737
0.2364 0.7500 0.9334
0.2636 0.2500 0.4334
0.7364 0.7500 0.5666
0.7636 0.2500 0.0666
0.0004 0.2500 0.7490
0.9996 0.7500 0.2510
0.5004 0.2500 0.7510
0.4996 0.7500 0.2490
0.9999 0.0460 0.6808
0.9999 0.4540 0.6808
0.0001 0.5460 0.3192
0.0001 0.9540 0.3192
0.0035 0.2500 0.8788
0.0230 0.2500 0.1186
0.0998 0.7500 0.5467
0.1200 0.2500 0.4725
0.1708 0.5226 0.9927
0.1708 0.9774 0.9927
0.2115 0.7500 0.7747
0.2885 0.2500 0.2747
0.3292 0.0226 0.4927
0.3292 0.4774 0.4927
0.3800 0.7500 0.9725
0.4002 0.2500 0.0467
0.4770 0.7500 0.6186
0.4965 0.7500 0.3788
0.4999 0.0460 0.8192
0.4999 0.4540 0.8192
0.5001 0.5460 0.1808
0.5001 0.9540 0.1808
0.5035 0.2500 0.6212
0.5230 0.2500 0.3814
0.5998 0.7500 0.9533
0.6200 0.2500 0.0275
0.6708 0.5226 0.5073
0.6708 0.9774 0.5073
0.7115 0.7500 0.7253
0.7885 0.2500 0.2253
0.8292 0.0226 0.0073
0.8292 0.4774 0.0073
0.8800 0.7500 0.5275
0.9002 0.2500 0.4533
0.9770 0.7500 0.8814
0.9965 0.7500 0.1212
```

=====

Calculated powder XRD pattern of Dy2Tm4Cd for copper Kα, from a GGA-PBE-relaxed structure.
No peak broadening, texture or thermal motion is included.

Peak list (12 most intense, 2θ from 10° to 90°, sorted by position)
2θ (°)  I/Imax
30.9  100
32.1  68
32.4  65
33.8  60
34.0  20
38.0  62
51.5  21
51.9  20
53.0  18
63.3  19
63.5  19
64.3  19

```
Dy2Tm4Cd
1.0
8.1361 -1.7286 0.0000
8.1361 1.7286 0.0000
-3.8303 0.0000 7.4351
Dy Tm Cd
2 4 1
Direct
0.2189 0.2189 0.1421
0.7811 0.7811 0.8579
0.0794 0.0794 0.7019
0.3688 0.3688 0.6044
0.6312 0.6312 0.3956
0.9206 0.9206 0.2981
0.0000 0.0000 0.0000
```

=====

Calculated powder XRD pattern of ScZn9Cu3 for copper Kα, from a GGA-PBE-relaxed structure.
No peak broadening, texture or thermal motion is included.

Peak list (12 most intense, 2θ from 10° to 90°, sorted by position)
2θ (°)  I/Imax
35.6  30
35.7  30
41.0  92
41.2  30
41.3  100
42.0  44
42.1  48
46.1  37
46.2  45
46.4  40
46.9  35
47.1  89

```
ScZn9Cu3
1.0
2.4597 -6.2112 0.0000
2.4597 6.2112 0.0000
-2.4303 0.0000 6.2343
Sc Zn Cu
1 9 3
Direct
0.0000 0.0000 0.0000
0.0096 0.6587 0.6585
0.2833 0.4983 0.7893
0.3413 0.9904 0.3415
0.4983 0.2833 0.7893
0.5000 0.5000 0.5000
0.5017 0.7167 0.2107
0.6587 0.0096 0.6585
0.7167 0.5017 0.2107
0.9904 0.3413 0.3415
0.0000 0.0000 0.5000
0.0000 0.5000 0.0000
0.5000 0.0000 0.0000
```

=====

Calculated powder XRD pattern of PuCd2F11 for copper Kα, from a GGA-PBE-relaxed structure.
No peak broadening, texture or thermal motion is included.

Peak list (12 most intense, 2θ from 10° to 90°, sorted by position)
2θ (°)  I/Imax
14.0  58
21.1  100
23.7  59
24.8  21
26.9  24
28.8  19
31.7  17
42.9  20
43.4  21
45.8  28
47.2  24
49.5  17

```
PuCd2F11
1.0
-4.0940 5.0159 5.6453
4.0940 -5.0159 5.6453
4.0940 5.0159 -5.6453
Pu Cd F
2 4 22
Direct
0.2500 0.2500 0.0000
0.7500 0.7500 0.0000
0.1950 0.6579 0.8529
0.3050 0.1579 0.4629
0.6950 0.8421 0.5371
0.8050 0.3421 0.1471
0.0000 0.5000 0.5000
0.0100 0.9416 0.2750
0.0662 0.3163 0.1184
0.1666 0.4416 0.9316
0.1934 0.3873 0.5806
0.1979 0.9478 0.8816
0.3021 0.1837 0.7499
0.3066 0.8873 0.1939
0.3334 0.2649 0.2750
0.4338 0.5522 0.2501
0.4900 0.7649 0.9316
0.5000 0.0000 0.5000
0.5100 0.2351 0.0684
0.5662 0.4478 0.7499
0.6666 0.7351 0.7250
0.6934 0.1127 0.8061
0.6979 0.8163 0.2501
0.8021 0.0522 0.1184
0.8066 0.6127 0.4194
0.8334 0.5584 0.0684
0.9338 0.6837 0.8816
0.9900 0.0584 0.7250
```

=====

Calculated powder XRD pattern of RbBeF3 for copper Kα, from a GGA-PBE-relaxed structure.
No peak broadening, texture or thermal motion is included.

Peak list (12 most intense, 2θ from 10° to 90°, sorted by position)
2θ (°)  I/Imax
16.5  37
23.0  15
28.5  100
34.6  19
35.3  21
38.3  15
38.9  23
39.2  19
40.9  51
47.1  15
59.2  16
63.4  13

```
RbBeF3
1.0
5.3722 -5.9288 0.0000
5.3722 5.9288 0.0000
-0.0027 0.0000 5.0838
Rb Be F
4 4 12
Direct
0.1144 0.8856 0.7500
0.3335 0.6665 0.2500
0.6665 0.3335 0.7500
0.8856 0.1144 0.2500
0.1973 0.3550 0.7497
0.3550 0.1973 0.2497
0.6450 0.8027 0.7503
0.8027 0.6450 0.2503
0.0362 0.2363 0.7499
0.1775 0.5416 0.7503
0.2363 0.0362 0.2499
0.3142 0.3149 0.4992
0.3149 0.3142 0.9992
0.4584 0.8225 0.7497
0.5416 0.1775 0.2503
0.6851 0.6858 0.0008
0.6858 0.6851 0.5008
0.7637 0.9638 0.7501
0.8225 0.4584 0.2497
0.9638 0.7637 0.2501
```

=====

Calculated powder XRD pattern of Na3La3TcO8 for copper Kα, from a GGA-PBE-relaxed structure.
No peak broadening, texture or thermal motion is included.

Peak list (12 most intense, 2θ from 10° to 90°, sorted by position)
2θ (°)  I/Imax
16.0  100
29.6  53
31.0  54
32.2  17
36.3  84
39.9  19
48.4  19
51.5  29
53.1  25
54.3  23
62.1  18
64.6  13

```
Na3La3TcO8
1.0
3.5494 2.0493 5.5526
-3.5494 2.0493 5.5526
0.0000 -4.0985 5.5526
Na La Tc O
3 3 1 8
Direct
0.0000 0.5000 0.5000
0.5000 0.0000 0.5000
0.5000 0.5000 0.0000
0.0000 0.0000 0.5000
0.0000 0.5000 0.0000
0.5000 0.0000 0.0000
0.5000 0.5000 0.5000
0.2396 0.2396 0.2396
0.2759 0.7120 0.7120
0.2880 0.2880 0.7241
0.2880 0.7241 0.2880
0.7120 0.2759 0.7120
0.7120 0.7120 0.2759
0.7241 0.2880 0.2880
0.7604 0.7604 0.7604
```

=====

Calculated powder XRD pattern of Na2SrCuI5 for copper Kα, from a GGA-PBE-relaxed structure.
No peak broadening, texture or thermal motion is included.

Peak list (12 most intense, 2θ from 10° to 90°, sorted by position)
2θ (°)  I/Imax
10.3  23
23.8  30
25.0  42
25.8  49
27.6  100
31.5  50
40.2  28
40.5  29
43.9  27
44.8  23
47.9  14
48.4  17

```
Na2SrCuI5
1.0
2.2456 -10.6569 0.0000
2.2456 10.6569 0.0000
0.0000 0.0000 14.3241
Na Sr Cu I
4 2 2 10
Direct
0.0755 0.9245 0.5000
0.1013 0.8987 0.1907
0.8987 0.1013 0.6907
0.9245 0.0755 0.0000
0.2001 0.7999 0.8870
0.7999 0.2001 0.3870
0.4277 0.5723 0.2731
0.5723 0.4277 0.7731
0.0452 0.9548 0.8658
0.3089 0.6911 0.2231
0.3106 0.6894 0.5514
0.3574 0.6426 0.8656
0.4969 0.5031 0.1212
0.5031 0.4969 0.6212
0.6426 0.3574 0.3656
0.6894 0.3106 0.0514
0.6911 0.3089 0.7231
0.9548 0.0452 0.3658
```